No. 1
This entry pairs a crystal structure of OsCl4 with its computed powder XRD pattern. Radiation: λ = 1.5418 Å (Cu Kα). Structure: a crystal structure in Alexandria, relaxed with GGA-PBE.
Neutral-atom scattering factors, no anomalous dispersion.

Cell and atoms:
```
data_OsCl4
_chemical_formula_sum 'Os1 Cl4'
_cell_length_a 6.3246
_cell_length_b 6.3246
_cell_length_c 3.6311
_cell_angle_alpha 90.00
_cell_angle_beta 90.00
_cell_angle_gamma 96.01
_space_group_name_H-M_alt 'P 1'
_space_group_IT_number 1
_space_group_name_Hall 'P 1'
loop_
_atom_site_label
_atom_site_type_symbol
_atom_site_fract_x
_atom_site_fract_y
_atom_site_fract_z
Os1 Os 0.0000 0.0000 0.0000
Cl1 Cl 0.1661 0.8339 0.5000
Cl2 Cl 0.2687 0.2687 0.0000
Cl3 Cl 0.7313 0.7313 0.0000
Cl4 Cl 0.8339 0.1661 0.5000
```

The 6 most intense peaks (10° ≤ 2θ ≤ 90°), by angle:
2θ/deg, I/Imax
14.08, 100.0
18.88, 28.1
28.38, 18.5
31.12, 28.3
39.45, 21.1
50.25, 17.4

***

No. 2
This entry pairs a crystal structure of Pr3Pd4 with its computed powder XRD pattern. Radiation: λ = 1.5418 Å (Cu Kα). Structure: a crystal structure in Alexandria, relaxed with GGA-PBE.
Neutral-atom scattering factors, no anomalous dispersion.

Cell and atoms:
```
data_Pr3Pd4
_chemical_formula_sum 'Pr6 Pd8'
_cell_length_a 8.2305
_cell_length_b 8.2305
_cell_length_c 8.2305
_cell_angle_alpha 114.51
_cell_angle_beta 114.51
_cell_angle_gamma 114.51
_space_group_name_H-M_alt 'P 1'
_space_group_IT_number 1
_space_group_name_Hall 'P 1'
loop_
_atom_site_label
_atom_site_type_symbol
_atom_site_fract_x
_atom_site_fract_y
_atom_site_fract_z
Pr1 Pr 0.0281 0.2794 0.4053
Pr2 Pr 0.2794 0.4053 0.0281
Pr3 Pr 0.4053 0.0281 0.2794
Pr4 Pr 0.5947 0.9719 0.7206
Pr5 Pr 0.7206 0.5947 0.9719
Pr6 Pr 0.9719 0.7206 0.5947
Pd1 Pd 0.0000 0.0000 0.0000
Pd2 Pd 0.0586 0.5543 0.2226
Pd3 Pd 0.2226 0.0586 0.5543
Pd4 Pd 0.4457 0.7774 0.9414
Pd5 Pd 0.5000 0.5000 0.5000
Pd6 Pd 0.5543 0.2226 0.0586
Pd7 Pd 0.7774 0.9414 0.4457
Pd8 Pd 0.9414 0.4457 0.7774
```

The 6 most intense peaks (10° ≤ 2θ ≤ 90°), by angle:
2θ/deg, I/Imax
30.89, 37.1
34.27, 100.0
36.05, 17.1
36.42, 69.9
40.97, 18.3
50.87, 15.2